1.
# Li7Mn4CoO12
Simulated powder XRD pattern, a wavelength of 1.5418 Å. Input: the GGA+U geometry in the Materials Project.
Intensities are scaled so that the largest is 100.

Main lines, low angle first (2θ = 10–90°):
(2 0 0), 2θ = 18.26°, I = 100.0; (0 0 6), 2θ = 34.23°, I = 13.9; (1 1 -3), 2θ = 36.18°, I = 24.2; (2 0 6), 2θ = 41.28°, I = 28.3; (3 1 -3), 2θ = 44.04°, I = 58.2; (5 1 -3), 2θ = 58.00°, I = 9.3; (1 1 -9), 2θ = 61.75°, I = 13.9; (5 1 3), 2θ = 62.13°, I = 13.2

Crystal structure
a b c (Å): 9.804 2.881 15.861
angles (deg): 90.00 97.68 90.00
Space group Cm (No. 8)
One atom of each set of equivalent atoms:
Li: 0.000 0.000 0.000
Li: 0.001 0.000 0.343
Li: 0.010 0.500 0.177
Li: 0.247 0.500 0.413
Li: 0.477 0.000 0.487
Li: 0.489 0.500 0.651
Li: 0.493 0.000 0.825
Mn: 0.242 0.000 0.913
Mn: 0.242 0.500 0.741
Mn: 0.258 0.500 0.087
Mn: 0.262 0.000 0.259
Co: 0.229 0.000 0.558
O: 0.117 0.000 0.461
O: 0.129 0.500 0.951
O: 0.130 0.000 0.781
O: 0.141 0.500 0.632
O: 0.144 0.500 0.285
O: 0.148 0.000 0.129
O: 0.352 0.500 0.869
O: 0.360 0.000 0.715
O: 0.360 0.500 0.541
O: 0.365 0.000 0.362
O: 0.368 0.000 0.044
O: 0.372 0.500 0.215



2.
# Li4Mn3CoO8
Simulated powder XRD pattern, a wavelength of 1.5418 Å. Input: the GGA+U geometry in the Materials Project.
Intensities are scaled so that the largest is 100.

Main lines, low angle first (2θ = 10–90°):
(0 1 1), 2θ = 18.21°, I = 100.0; (1 1 -1), 2θ = 33.84°, I = 18.0; (1 -1 1), 2θ = 35.83°, I = 13.0; (2 1 1), 2θ = 36.14°, I = 12.6; (1 0 2), 2θ = 37.03°, I = 8.8; (1 0 -2), 2θ = 40.64°, I = 31.1; (1 -2 0), 2θ = 43.68°, I = 25.2; (2 2 2), 2θ = 44.23°, I = 24.3

Crystal structure
a b c (Å): 5.089 5.854 6.025
angles (deg): 61.62 77.13 73.72
Space group P-1 (No. 2)
One atom of each set of equivalent atoms:
Li: 0.000 0.000 0.000
Li: 0.000 0.500 0.500
Li: 0.483 0.240 0.773
Mn: 0.000 0.000 0.500
Mn: 0.499 0.746 0.758
Co: 0.000 0.500 0.000
O: 0.225 0.629 0.666
O: 0.248 0.097 0.630
O: 0.254 0.598 0.141
O: 0.262 0.132 0.130



3.
# LiMnCo3O8
Simulated powder XRD pattern, a wavelength of 1.5418 Å. Input: the GGA+U geometry in the Materials Project.
Intensities are scaled so that the largest is 100.

Main lines, low angle first (2θ = 10–90°):
(0 1 0), 2θ = 17.64°, I = 100.0; (2 1 -2), 2θ = 36.59°, I = 17.9; (0 1 4), 2θ = 36.95°, I = 9.4; (2 0 2), 2θ = 43.33°, I = 14.4; (2 2 -2), 2θ = 43.44°, I = 14.3; (0 2 4), 2θ = 44.25°, I = 13.8; (2 -1 2), 2θ = 56.11°, I = 5.1; (2 2 6), 2θ = 65.22°, I = 7.5

Crystal structure
a b c (Å): 5.744 5.983 9.902
angles (deg): 75.15 89.95 61.43
Space group P1 (No. 1)
One atom of each set of equivalent atoms:
Li: 0.000 0.000 0.000
Li: 0.495 0.008 0.491
Mn: 0.248 0.504 0.245
Mn: 0.749 0.505 0.745
Co: 0.000 0.503 0.497
Co: 0.249 0.506 0.745
Co: 0.496 0.507 0.993
Co: 0.497 0.502 0.497
Co: 0.748 0.503 0.245
Co: 0.999 0.507 0.993
O: 0.094 0.311 0.861
O: 0.107 0.305 0.366
O: 0.153 0.695 0.386
O: 0.153 0.698 0.883
O: 0.343 0.314 0.103
O: 0.345 0.313 0.607
O: 0.388 0.703 0.124
O: 0.405 0.700 0.628
O: 0.584 0.302 0.367
O: 0.597 0.311 0.861
O: 0.652 0.696 0.390
O: 0.653 0.697 0.884
O: 0.844 0.311 0.100
O: 0.846 0.312 0.607
O: 0.901 0.699 0.629
O: 0.911 0.705 0.123



4.
# Li7Mn2Co3O12
Simulated powder XRD pattern, a wavelength of 1.5418 Å. Input: the GGA+U geometry in the Materials Project.
Intensities are scaled so that the largest is 100.

Main lines, low angle first (2θ = 10–90°):
(0 0 6), 2θ = 17.87°, I = 100.0; (2 0 -2), 2θ = 34.73°, I = 15.6; (1 1 2), 2θ = 35.91°, I = 25.1; (2 0 -8), 2θ = 41.77°, I = 32.1; (1 1 8), 2θ = 43.34°, I = 56.9; (1 1 -10), 2θ = 46.74°, I = 14.0; (1 1 -16), 2θ = 61.39°, I = 16.2; (3 1 0), 2θ = 62.14°, I = 17.1

Crystal structure
a b c (Å): 5.224 2.909 29.795
angles (deg): 90.00 91.37 90.00
Space group Cm (No. 8)
One atom of each set of equivalent atoms:
Li: 0.000 0.000 0.000
Li: 0.000 0.000 0.255
Li: 0.158 0.500 0.916
Li: 0.172 0.500 0.415
Li: 0.334 0.000 0.586
Li: 0.348 0.000 0.078
Li: 0.499 0.500 0.751
Mn: 0.002 0.000 0.500
Mn: 0.171 0.500 0.169
Co: 0.168 0.500 0.668
Co: 0.334 0.000 0.832
Co: 0.336 0.000 0.334
O: 0.000 0.000 0.630
O: 0.009 0.000 0.371
O: 0.017 0.000 0.868
O: 0.018 0.000 0.134
O: 0.142 0.500 0.539
O: 0.160 0.500 0.794
O: 0.166 0.500 0.295
O: 0.171 0.500 0.043
O: 0.318 0.000 0.206
O: 0.334 0.000 0.704
O: 0.336 0.000 0.956
O: 0.362 0.000 0.462



5.
# Li5MnCo2O8
Simulated powder XRD pattern, a wavelength of 1.5418 Å. Input: the GGA+U geometry in the Materials Project.
Intensities are scaled so that the largest is 100.

Main lines, low angle first (2θ = 10–90°):
(0 1 0), 2θ = 15.17°, I = 16.8; (0 0 1), 2θ = 18.49°, I = 100.0; (1 1 0), 2θ = 24.34°, I = 13.3; (1 2 0), 2θ = 36.24°, I = 24.6; (1 2 1), 2θ = 43.94°, I = 59.2; (2 0 -2), 2θ = 44.24°, I = 29.0; (1 2 -3), 2θ = 63.51°, I = 15.4; (3 2 -1), 2θ = 64.72°, I = 15.3

Crystal structure
a b c (Å): 4.968 5.839 5.081
angles (deg): 90.00 109.21 90.00
Space group P2 (No. 3)
One atom of each set of equivalent atoms:
Li: 0.000 0.000 0.000
Li: 0.000 0.241 0.500
Li: 0.000 0.484 0.000
Li: 0.500 0.239 0.000
Li: 0.500 0.744 0.000
Mn: 0.500 0.491 0.500
Co: 0.000 0.738 0.500
Co: 0.500 0.002 0.500
O: 0.241 0.969 0.718
O: 0.247 0.511 0.716
O: 0.247 0.730 0.277
O: 0.278 0.256 0.262



6.
# Li7Mn4CoO12
Simulated powder XRD pattern, a wavelength of 1.5418 Å. Input: the GGA+U geometry in the Materials Project.
Intensities are scaled so that the largest is 100.

Main lines, low angle first (2θ = 10–90°):
(0 1 0), 2θ = 11.79°, I = 9.1; (1 1 0), 2θ = 18.35°, I = 100.0; (-1 2 2), 2θ = 35.43°, I = 15.0; (1 -2 2), 2θ = 36.06°, I = 12.5; (1 1 4), 2θ = 36.10°, I = 12.6; (-2 1 2), 2θ = 42.82°, I = 30.4; (2 2 4), 2θ = 43.80°, I = 57.1; (3 0 2), 2θ = 47.47°, I = 8.3

Crystal structure
a b c (Å): 5.918 7.768 10.122
angles (deg): 77.16 74.40 79.32
Space group P1 (No. 1)
One atom of each set of equivalent atoms:
Li: 0.000 0.000 0.000
Li: 0.001 0.002 0.500
Li: 0.004 0.500 0.245
Li: 0.162 0.321 0.003
Li: 0.167 0.325 0.502
Li: 0.329 0.162 0.256
Li: 0.337 0.159 0.752
Li: 0.499 0.000 0.001
Li: 0.500 0.002 0.500
Li: 0.665 0.843 0.249
Li: 0.671 0.841 0.744
Li: 0.834 0.681 0.498
Li: 0.838 0.679 0.996
Li: 0.996 0.502 0.755
Mn: 0.163 0.836 0.252
Mn: 0.171 0.839 0.746
Mn: 0.333 0.670 0.500
Mn: 0.338 0.671 0.998
Mn: 0.663 0.330 0.002
Mn: 0.669 0.334 0.500
Mn: 0.830 0.164 0.254
Mn: 0.838 0.166 0.748
Co: 0.496 0.495 0.753
Co: 0.505 0.508 0.247
O: 0.036 0.744 0.624
O: 0.039 0.744 0.122
O: 0.136 0.082 0.147
O: 0.175 0.605 0.875
O: 0.178 0.600 0.378
O: 0.180 0.066 0.633
O: 0.328 0.896 0.376
O: 0.334 0.897 0.871
O: 0.353 0.429 0.111
O: 0.355 0.424 0.608
O: 0.477 0.749 0.625
O: 0.499 0.251 0.890
O: 0.501 0.749 0.110
O: 0.525 0.256 0.375
O: 0.647 0.579 0.392
O: 0.648 0.572 0.889
O: 0.667 0.105 0.129
O: 0.674 0.108 0.624
O: 0.821 0.937 0.368
O: 0.824 0.397 0.125
O: 0.825 0.403 0.622
O: 0.865 0.919 0.853
O: 0.961 0.257 0.879
O: 0.966 0.260 0.375